Ce4S6O: simulated XRD peak list (Cu Kα, 1.54184 Å), based on a DFT-relaxed cell (GGA-PBE, Alexandria).
No peak broadening, texture or thermal motion is included.

Structural model:
```
22
Lattice="9.0117 0.0000 0.0000 -4.5058 7.8043 0.0000 0.0000 0.0000 6.8687" Properties=species:S:1:pos:R:3 pbc="T T T"
Ce 0.0000 2.9787 0.0000
Ce -1.9262 6.3150 0.0000
Ce 0.0000 5.2029 3.7465
Ce 2.5797 1.4894 3.4344
Ce 1.9262 6.3150 0.0000
Ce 4.5058 2.6014 0.3122
Ce 6.4320 1.4894 3.4344
Ce 4.5058 4.8256 3.4344
S -1.8126 4.1564 1.9109
S 0.0000 2.1730 4.2085
S -2.6240 6.7179 4.2085
S 1.8818 1.0865 0.7741
S 1.8126 4.1564 1.9109
S 0.0000 7.2959 1.9109
S 4.5058 0.5085 5.3453
S 2.6932 3.6479 5.3453
S 2.6240 6.7179 4.2085
S 7.1298 1.0865 0.7741
S 4.5058 5.6314 0.7741
S 6.3184 3.6479 5.3453
O 0.0000 5.2029 6.1141
O 4.5058 2.6014 2.6797
```

Most intense lines, 10 to 90 degrees two-theta, by intensity:
d = 3.393 Å, 2θ = 26.3°, I 100.0, hkl 2 0 1; d = 2.578 Å, 2θ = 34.8°, I 43.4, hkl 2 0 2; d = 2.253 Å, 2θ = 40.0°, I 40.4, hkl 2 2 0; d = 1.975 Å, 2θ = 46.0°, I 32.6, hkl 2 0 3; d = 3.434 Å, 2θ = 25.9°, I 28.0, hkl 0 0 2; d = 3.902 Å, 2θ = 22.8°, I 27.1, hkl 2 0 0; d = 2.433 Å, 2θ = 36.9°, I 25.2, hkl 3 0 1; d = 1.884 Å, 2θ = 48.3°, I 22.6, hkl 2 2 2; d = 2.710 Å, 2θ = 33.0°, I 19.3, hkl 2 1 1; d = 7.804 Å, 2θ = 11.3°, I 15.3, hkl 1 0 0; d = 1.877 Å, 2θ = 48.5°, I 14.6, hkl 4 0 1; d = 1.485 Å, 2θ = 62.6°, I 13.4, hkl 4 0 3